This entry pairs a crystal structure of Dy5Tl2Ge with its theoretical X-ray powder pattern. Radiation: a wavelength of 1.5418 Å. Structure: a cell relaxed with GGA-PBE.

Atomic structure:
a b c (Å): 7.0636 12.6687 4.9352
angles (deg): 90.00 90.00 90.00
Space group Pbam (No. 55)
Inequivalent atoms, fractional coordinates:
1 Dy 0.0000 0.0000 0.0000 (multiplicity 2)
2 Dy 0.1405 0.2812 0.0000 (multiplicity 4)
3 Dy 0.1714 0.5873 0.5000 (multiplicity 4)
4 Tl 0.1002 0.8395 0.5000 (multiplicity 4)
5 Ge 0.0000 0.5000 0.0000 (multiplicity 2)

The 10 most intense peaks (2θ = 10–90°), sorted by position:
Position (°2θ)	I_rel	(hkl)
30.60	48	1 3 1
30.94	32	1 4 0
31.95	100	2 1 1
33.06	25	2 3 0
33.62	60	0 4 1
34.28	26	2 2 1
36.41	49	0 0 2
48.51	18	1 4 2
56.52	17	3 5 1
63.73	17	0 4 3

=====

This entry pairs a crystal structure of Rb4Pb3I10 with its theoretical X-ray powder pattern. Radiation: a wavelength of 1.5418 Å. Structure: a cell relaxed with GGA-PBE.

Atomic structure:
a b c (Å): 9.2060 8.9260 22.3264
angles (deg): 90.00 101.29 90.00
Space group C2/m (No. 12)
Inequivalent atoms, fractional coordinates:
1 Rb 0.0228 0.0000 0.3656 (multiplicity 4)
2 Rb 0.2496 0.0000 0.8943 (multiplicity 4)
3 Pb 0.0000 0.5000 0.5000 (multiplicity 2)
4 Pb 0.1610 0.5000 0.7976 (multiplicity 4)
5 I 0.0737 0.2351 0.2110 (multiplicity 8)
6 I 0.0795 0.5000 0.6458 (multiplicity 4)
7 I 0.1952 0.5000 0.9386 (multiplicity 4)
8 I 0.2500 0.2500 0.5000 (multiplicity 4)

The 10 most intense peaks (2θ = 10–90°), sorted by position:
Position (°2θ)	I_rel	(hkl)
12.13	41	0 0 3
13.97	67	1 1 -1
19.90	21	0 2 0
27.84	100	2 2 -1
28.54	45	0 0 7
29.88	23	1 1 6
30.88	20	3 1 -1
40.14	31	2 2 6
40.44	50	0 4 0
50.22	20	0 4 7

=====

This entry pairs a crystal structure of AgH2O with its theoretical X-ray powder pattern. Radiation: a wavelength of 1.5418 Å. Structure: a cell relaxed with GGA-PBE.

Atomic structure:
a b c (Å): 2.7833 4.8885 7.9163
angles (deg): 94.81 93.92 91.09
Space group P-1 (No. 2)
Inequivalent atoms, fractional coordinates:
1 Ag 0.2487 0.2479 0.4880 (multiplicity 2)
2 H 0.1510 0.8050 0.9033 (multiplicity 2)
3 H 0.1654 0.4597 0.1272 (multiplicity 2)
4 O 0.1840 0.2636 0.0938 (multiplicity 2)

The 10 most intense peaks (2θ = 10–90°), sorted by position:
Position (°2θ)	I_rel	(hkl)
11.24	100	0 0 1
22.60	34	0 0 2
34.18	11	0 0 3
36.89	22	0 2 0
37.71	16	1 1 0
38.28	6	1 1 -1
38.45	7	-1 1 1
41.93	7	0 2 -2
44.07	6	1 -1 2
48.86	8	1 1 -3

=====

This entry pairs a crystal structure of Ti4TeC with its theoretical X-ray powder pattern. Radiation: a wavelength of 1.5418 Å. Structure: a cell relaxed with GGA-PBE.

Atomic structure:
a b c (Å): 7.1298 12.2111 5.3184
angles (deg): 90.00 118.96 90.00
Space group C2/c (No. 15)
Inequivalent atoms, fractional coordinates:
1 Ti 0.1136 0.2074 0.1142 (multiplicity 8)
2 Ti 0.1908 0.0546 0.6927 (multiplicity 8)
3 Te 0.0000 0.3914 0.7500 (multiplicity 4)
4 C 0.0000 0.0677 0.2500 (multiplicity 4)

The 10 most intense peaks (2θ = 10–90°), sorted by position:
Position (°2θ)	I_rel	(hkl)
18.87	59	1 1 -1
24.05	69	0 2 1
28.06	42	1 3 -1
29.50	88	2 2 -1
34.79	44	1 1 -2
36.57	100	1 3 1
38.66	69	0 0 2
39.22	67	2 4 -1
39.63	53	1 5 0
44.63	44	2 2 1

=====

This entry pairs a crystal structure of Sm3DyS4 with its theoretical X-ray powder pattern. Radiation: a wavelength of 1.5418 Å. Structure: a cell relaxed with GGA-PBE.

Atomic structure:
a b c (Å): 5.6357 5.6357 5.6357
angles (deg): 90.00 90.00 90.00
Space group Pm-3m (No. 221)
Inequivalent atoms, fractional coordinates:
1 Sm 0.0000 0.0000 0.5000 (multiplicity 3)
2 Dy 0.5000 0.5000 0.5000 (multiplicity 1)
3 S 0.0000 0.0000 0.0000 (multiplicity 1)
4 S 0.0000 0.5000 0.5000 (multiplicity 3)

The 9 most intense peaks (2θ = 10–90°), sorted by position:
Position (°2θ)	I_rel	(hkl)
27.41	78	1 1 1
31.76	100	2 0 0
45.52	72	2 2 0
53.96	39	3 1 1
56.57	25	2 2 2
66.35	12	4 0 0
73.21	16	3 3 1
75.43	32	4 2 0
84.16	25	4 2 2

=====

This entry pairs a crystal structure of Pm8Pr6Dy with its theoretical X-ray powder pattern. Radiation: a wavelength of 1.5418 Å. Structure: a cell relaxed with GGA-PBE.

Atomic structure:
a b c (Å): 9.5938 9.5938 6.7171
angles (deg): 90.00 90.00 120.00
Space group P-3 (No. 147)
Inequivalent atoms, fractional coordinates:
1 Pm 0.0291 0.7498 0.1646 (multiplicity 6)
2 Pm 0.3333 0.6667 0.1116 (multiplicity 2)
3 Pr 0.0837 0.6515 0.6623 (multiplicity 6)
4 Dy 0.0000 0.0000 0.5000 (multiplicity 1)

The 10 most intense peaks (2θ = 10–90°), sorted by position:
Position (°2θ)	I_rel	(hkl)
25.21	29	0 2 1
28.42	25	1 2 0
28.67	19	0 1 2
31.45	100	3 -1 1
32.32	27	3 0 0
32.55	60	1 1 2
49.72	21	2 3 1
50.33	13	4 1 0
60.83	12	4 0 3
63.90	12	6 -1 1

=====

This entry pairs a crystal structure of La2GaI2 with its theoretical X-ray powder pattern. Radiation: a wavelength of 1.5418 Å. Structure: a cell relaxed with GGA-PBE.

Atomic structure:
a b c (Å): 6.1653 6.1653 9.5464
angles (deg): 90.00 90.00 90.00
Space group I4/mmm (No. 139)
Inequivalent atoms, fractional coordinates:
1 La 0.0000 0.5000 0.2500 (multiplicity 4)
2 Ga 0.0000 0.0000 0.0000 (multiplicity 2)
3 I 0.0000 0.0000 0.3215 (multiplicity 4)

The 10 most intense peaks (2θ = 10–90°), sorted by position:
Position (°2θ)	I_rel	(hkl)
18.59	53	0 0 2
27.71	23	1 1 2
28.96	100	2 0 0
31.64	45	1 0 3
34.64	44	2 0 2
41.42	38	2 2 0
43.43	37	2 1 3
45.76	20	2 2 2
62.10	21	1 1 6
77.42	22	3 1 6

=====

This entry pairs a crystal structure of Ac10Tl3Sn3 with its theoretical X-ray powder pattern. Radiation: a wavelength of 1.5418 Å. Structure: a cell relaxed with GGA-PBE.

Atomic structure:
a b c (Å): 9.8310 9.8310 7.4512
angles (deg): 90.00 90.00 120.00
Space group P-62m (No. 189)
Inequivalent atoms, fractional coordinates:
1 Ac 0.0000 0.2442 0.0000 (multiplicity 3)
2 Ac 0.0000 0.7573 0.5000 (multiplicity 3)
3 Ac 0.3333 0.6667 0.2466 (multiplicity 4)
4 Tl 0.0000 0.4009 0.5000 (multiplicity 3)
5 Sn 0.0000 0.6049 0.0000 (multiplicity 3)

The 10 most intense peaks (2θ = 10–90°), sorted by position:
Position (°2θ)	I_rel	(hkl)
23.88	17	0 0 2
26.11	21	1 0 2
27.72	34	2 1 0
30.10	84	1 1 2
30.25	100	2 1 1
31.52	39	3 0 0
44.14	20	2 2 2
46.17	32	2 1 3
49.31	18	4 0 2
59.71	17	5 0 2

=====

This entry pairs a crystal structure of Tb4SnSb with its theoretical X-ray powder pattern. Radiation: a wavelength of 1.5418 Å. Structure: a cell relaxed with GGA-PBE.

Atomic structure:
a b c (Å): 6.0905 7.6978 8.9213
angles (deg): 76.15 70.04 89.94
Space group P-1 (No. 2)
Inequivalent atoms, fractional coordinates:
1 Tb 0.0326 0.1252 0.2053 (multiplicity 2)
2 Tb 0.2623 0.6254 0.2050 (multiplicity 2)
3 Tb 0.3086 0.5543 0.6447 (multiplicity 2)
4 Tb 0.4545 0.9452 0.3551 (multiplicity 2)
5 Sn 0.1365 0.2499 0.4999 (multiplicity 2)
6 Sb 0.0000 0.5000 0.0000 (multiplicity 1)
7 Sb 0.5000 0.0000 0.0000 (multiplicity 1)

The 10 most intense peaks (2θ = 10–90°), sorted by position:
Position (°2θ)	I_rel	(hkl)
21.98	23	1 0 2
28.12	27	0 2 2
29.81	65	1 -2 1
32.61	100	2 -1 0
35.75	66	0 2 3
36.05	52	1 1 -2
37.05	30	2 1 3
38.24	55	1 3 1
41.71	32	1 0 4
68.33	22	-3 1 3

=====

This entry pairs a crystal structure of Ag2O with its theoretical X-ray powder pattern. Radiation: a wavelength of 1.5418 Å. Structure: a cell relaxed with GGA-PBE.

Atomic structure:
a b c (Å): 4.8408 4.8408 4.8408
angles (deg): 90.00 90.00 90.00
Space group Pn-3m (No. 224, origin choice 2)
Inequivalent atoms, fractional coordinates:
1 Ag 0.0000 0.0000 0.0000 (multiplicity 4)
2 O 0.2500 0.2500 0.2500 (multiplicity 2)

The 8 most intense peaks (2θ = 10–90°), sorted by position:
Position (°2θ)	I_rel	(hkl)
26.03	2	1 1 0
32.02	100	1 1 1
37.15	43	2 0 0
53.54	37	2 2 0
63.77	38	3 1 1
66.96	10	2 2 2
79.14	6	4 0 0
87.92	16	3 3 1

=====

This entry pairs a crystal structure of Zn4Ga3Ag with its theoretical X-ray powder pattern. Radiation: a wavelength of 1.5418 Å. Structure: a cell relaxed with GGA-PBE.

Atomic structure:
a b c (Å): 5.4375 9.5308 11.2795
angles (deg): 90.00 90.00 90.00
Space group Fmmm (No. 69)
Inequivalent atoms, fractional coordinates:
1 Zn 0.0000 0.0000 0.2475 (multiplicity 8)
2 Zn 0.2500 0.2500 0.0000 (multiplicity 8)
3 Ga 0.0000 0.0000 0.5000 (multiplicity 4)
4 Ga 0.2500 0.2500 0.2500 (multiplicity 8)
5 Ag 0.0000 0.0000 0.0000 (multiplicity 4)

The 10 most intense peaks (2θ = 10–90°), sorted by position:
Position (°2θ)	I_rel	(hkl)
31.73	83	0 0 4
37.76	51	0 4 0
38.11	100	2 2 0
50.12	44	0 4 4
50.40	87	2 2 4
68.40	17	2 6 0
77.37	23	2 6 4
78.04	11	4 0 4
78.89	11	0 4 8
79.11	22	2 2 8

=====

This entry pairs a crystal structure of Ba8NaAu5 with its theoretical X-ray powder pattern. Radiation: a wavelength of 1.5418 Å. Structure: a cell relaxed with GGA-PBE.

Atomic structure:
a b c (Å): 24.4930 4.7962 11.6203
angles (deg): 90.00 103.72 90.00
Space group Cm (No. 8)
Inequivalent atoms, fractional coordinates:
1 Ba 0.0000 0.0000 0.0000 (multiplicity 2)
2 Ba 0.0145 0.5000 0.6681 (multiplicity 2)
3 Ba 0.0956 0.5000 0.3390 (multiplicity 2)
4 Ba 0.1614 0.5000 0.0013 (multiplicity 2)
5 Ba 0.1907 0.0000 0.6861 (multiplicity 2)
6 Ba 0.2570 0.0000 0.3485 (multiplicity 2)
7 Ba 0.3376 0.0000 0.0193 (multiplicity 2)
8 Ba 0.3522 0.5000 0.6876 (multiplicity 2)
9 Na 0.4266 0.5000 0.3436 (multiplicity 2)
10 Au 0.0880 0.0000 0.8255 (multiplicity 2)
11 Au 0.1289 0.0000 0.1762 (multiplicity 2)
12 Au 0.2235 0.5000 0.5114 (multiplicity 2)
13 Au 0.2640 0.5000 0.8619 (multiplicity 2)
14 Au 0.4260 0.0000 0.8438 (multiplicity 2)

The 10 most intense peaks (2θ = 10–90°), sorted by position:
Position (°2θ)	I_rel	(hkl)
23.98	100	3 1 1
24.17	51	6 0 -2
25.21	35	3 1 -2
28.42	58	3 1 2
30.19	61	3 1 -3
34.25	51	3 1 3
36.35	30	3 1 -4
37.50	46	0 2 0
38.01	92	9 1 -1
63.05	30	9 1 -7